CsRbZnGeO: calculated PXRD pattern (Cu Ka), based on the GGA-PBE geometry in Alexandria.
Lines closer than 0.1° are merged.

Top 10 peaks for 5 to 70 degrees two-theta, in order of rising 2θ:
d/Å, 2θ (°), I (rel.), hkl
4.143, 21.4, 39, 1 1 0
3.255, 27.4, 53, 2 0 1
3.222, 27.7, 74, 2 0 -2
3.104, 28.8, 100, 1 1 1
3.066, 29.1, 53, 4 0 -1
2.991, 29.9, 82, 3 1 -1
2.241, 40.2, 34, 0 2 0
1.955, 46.5, 35, 5 1 0
1.840, 49.5, 29, 2 2 -2
1.809, 50.4, 26, 4 2 -1

```
CsRbZnGeO
1.0
12.2648 0.0000 0.0000
0.0000 4.4821 0.0000
-3.0005 0.0000 5.7197
Cs Rb Zn Ge O
2 2 2 2 2
Cartesian
0.0000 0.0000 0.0000 Cs
6.1324 2.2411 0.0000 Cs
2.8202 2.2411 2.1484 Rb
8.9527 0.0000 2.1484 Rb
-0.4195 2.2411 3.5908 Zn
5.7130 0.0000 3.5908 Zn
0.4142 0.0000 4.3443 Ge
6.5467 2.2411 4.3443 Ge
2.1800 0.0000 3.8518 O
8.3125 2.2411 3.8518 O
```